# Li5Fe5Si7O24
Simulated X-ray powder pattern, Cu Kα. Input: a cell relaxed with PBE+U.
Lines closer than 0.1° are merged.

Most intense lines, 10° ≤ 2θ ≤ 90°, in order of falling intensity:
(hkl)	two_theta	d/Å	I (rel.)
2 0 1	24.6	3.617	100
0 2 -1	24.3	3.659	62
1 0 -2	22.2	4.008	46
0 2 1	24.2	3.674	33
-1 1 2	24.8	3.587	22
1 1 1	18.5	4.805	21
1 -1 2	24.9	3.573	20
4 0 0	46.3	1.963	14
0 1 2	22.0	4.033	14
0 0 4	38.7	2.328	11

Structure:
Cell lengths 7.849, 7.977, 9.318 Å; angles 89.67, 89.96, 89.66 degrees
Space group P1 (No. 1)
Symmetry-distinct sites (fractional):
Li (0.000, 0.000, 0.000) [1 per cell]
Li (0.058, 0.579, 0.741) [1 per cell]
Li (0.294, 0.256, 0.275) [1 per cell]
Li (0.513, 0.502, 0.244) [1 per cell]
Li (0.784, 0.240, 0.961) [1 per cell]
Fe (0.175, 0.435, 0.502) [1 per cell]
Fe (0.381, 0.179, 0.993) [1 per cell]
Fe (0.671, 0.066, 0.726) [1 per cell]
Fe (0.872, 0.324, 0.254) [1 per cell]
Fe (0.927, 0.617, 0.998) [1 per cell]
Si (0.090, 0.130, 0.736) [1 per cell]
Si (0.125, 0.848, 0.484) [1 per cell]
Si (0.352, 0.590, 0.003) [1 per cell]
Si (0.423, 0.880, 0.246) [1 per cell]
Si (0.588, 0.383, 0.503) [1 per cell]
Si (0.635, 0.658, 0.752) [1 per cell]
Si (0.827, 0.913, 0.249) [1 per cell]
O (0.084, 0.344, 0.337) [1 per cell]
O (0.117, 0.322, 0.675) [1 per cell]
O (0.121, 0.660, 0.556) [1 per cell]
O (0.132, 0.993, 0.608) [1 per cell]
O (0.162, 0.623, 0.937) [1 per cell]
O (0.201, 0.094, 0.883) [1 per cell]
O (0.299, 0.857, 0.385) [1 per cell]
O (0.367, 0.056, 0.171) [1 per cell]
O (0.372, 0.402, 0.079) [1 per cell]
O (0.398, 0.392, 0.427) [1 per cell]
O (0.398, 0.713, 0.143) [1 per cell]
O (0.497, 0.617, 0.882) [1 per cell]
O (0.580, 0.155, 0.897) [1 per cell]
O (0.595, 0.529, 0.623) [1 per cell]
O (0.612, 0.847, 0.694) [1 per cell]
O (0.627, 0.874, 0.291) [1 per cell]
O (0.633, 0.200, 0.565) [1 per cell]
O (0.705, 0.433, 0.363) [1 per cell]
O (0.830, 0.625, 0.812) [1 per cell]
O (0.843, 0.422, 0.073) [1 per cell]
O (0.851, 0.102, 0.182) [1 per cell]
O (0.896, 0.804, 0.112) [1 per cell]
O (0.898, 0.100, 0.804) [1 per cell]
O (0.951, 0.879, 0.388) [1 per cell]